Record 1
For Tl12Sn2Bi, a cell relaxed with PBE gives the simulated powder XRD pattern in this record (CuKα).
Peak positions follow from Bragg's law for the DFT cell and can differ from measured ones.

The 10 most intense peaks (2θ from 5° to 70°), low angle first:
d 4.349, 20.42 deg, I = 563; d 3.191, 27.96 deg, I = 728; d 3.049, 29.30 deg, I = 454; d 2.878, 31.08 deg, I = 627; d 2.700, 33.19 deg, I = 865; d 2.568, 34.94 deg, I = 370; d 2.515, 35.70 deg, I = 1000; d 2.348, 38.34 deg, I = 818; d 1.733, 52.84 deg, I = 288; d 1.414, 66.09 deg, I = 334

Structural model:
a b c (Å): 6.639 6.639 23.115
angles (deg): 90.00 90.00 90.00
Space group P4/nbm (No. 125, origin choice 2)
One atom of each set of equivalent atoms:
1 Tl 0.001 0.501 0.100 x8
2 Tl 0.077 0.577 0.567 x8
3 Tl 0.250 0.250 0.206 x4
4 Tl 0.250 0.250 0.337 x4
5 Sn 0.250 0.750 0.297 x4
6 Bi 0.250 0.750 0.000 x2

Record 2
For Mg3Tl7, a cell relaxed with PBE gives the simulated powder XRD pattern in this record (CuKα).
Peak positions follow from Bragg's law for the DFT cell and can differ from measured ones.

The 10 most intense peaks (2θ from 5° to 70°), low angle first:
d 4.742, 18.71 deg, I = 111; d 4.577, 19.40 deg, I = 71; d 3.399, 26.22 deg, I = 125; d 2.763, 32.41 deg, I = 1000; d 2.432, 36.96 deg, I = 171; d 2.374, 37.90 deg, I = 322; d 1.700, 53.94 deg, I = 157; d 1.678, 54.69 deg, I = 100; d 1.459, 63.81 deg, I = 64; d 1.436, 64.95 deg, I = 140

Structural model:
a b c (Å): 17.378 4.753 6.803
angles (deg): 90.00 102.74 90.00
Space group C2/m (No. 12)
One atom of each set of equivalent atoms:
1 Mg 0.000 0.000 0.000 x2
2 Mg 0.196 0.000 0.618 x4
3 Tl 0.000 0.000 0.500 x2
4 Tl 0.094 0.500 0.832 x4
5 Tl 0.111 0.500 0.339 x4
6 Tl 0.206 0.000 0.125 x4

Record 3
For RbCeBiO5, a cell relaxed with PBE gives the simulated powder XRD pattern in this record (CuKα).
Peak positions follow from Bragg's law for the DFT cell and can differ from measured ones.

The 10 most intense peaks (2θ from 5° to 70°), low angle first:
d 5.727, 15.47 deg, I = 364; d 3.827, 23.24 deg, I = 721; d 3.622, 24.58 deg, I = 804; d 3.195, 27.93 deg, I = 1000; d 3.081, 28.98 deg, I = 586; d 2.864, 31.23 deg, I = 341; d 2.036, 44.50 deg, I = 209; d 1.998, 45.39 deg, I = 317; d 1.894, 48.04 deg, I = 225; d 1.769, 51.66 deg, I = 228

Structural model:
a b c (Å): 7.932 10.678 8.262
angles (deg): 90.00 114.04 90.00
Space group C2/c (No. 15)
One atom of each set of equivalent atoms:
1 Rb 0.000 0.173 0.250 x4
2 Ce 0.000 0.500 0.000 x4
3 Bi 0.000 0.187 0.750 x4
4 O 0.000 0.448 0.250 x4
5 O 0.095 0.296 0.602 x8
6 O 0.199 0.071 0.918 x8

Question: Number 3 is which compound?
Answer: RbCeBiO5